For Dy4Te7, a GGA-PBE-relaxed structure gives the computed X-ray powder pattern in this record (copper Kα).
Kinematic intensities with the Lorentz-polarization factor, no thermal factor.

Top 12 peaks for 2θ = 10–90°, sorted by position:
h k l, d_spacing, I (rel.)
1 0 2, 3.905, 26
1 0 4, 3.097, 23
1 1 0, 3.081, 48
0 0 6, 2.935, 33
1 1 2, 2.908, 85
1 1 4, 2.524, 100
1 0 6, 2.434, 71
2 0 0, 2.179, 73
2 0 6, 1.749, 28
2 1 6, 1.623, 41
2 2 0, 1.541, 25
3 1 4, 1.315, 26

Unit cell a=4.3572 b=4.3572 c=17.6107 alpha=90.00 beta=90.00 gamma=90.00
Fractional positions:
1 Dy 0.0000 0.5000 0.1283
2 Dy 0.0000 0.5000 0.6390
3 Dy 0.5000 0.0000 0.3610
4 Dy 0.5000 0.0000 0.8717
5 Te 0.0000 0.0000 0.0000
6 Te 0.0000 0.0000 0.5000
7 Te 0.0000 0.5000 0.3098
8 Te 0.0000 0.5000 0.8206
9 Te 0.5000 0.0000 0.1794
10 Te 0.5000 0.0000 0.6902
11 Te 0.5000 0.5000 0.5000